Structure and computed powder XRD pattern of Cs2PuCl6 (a crystal structure in Alexandria, relaxed with GGA-PBE; a wavelength of 1.5418 Å).

Cell and atoms:
Cell: 7.6035 7.6035 6.3004 Å, 90.00 90.00 120.00°
Space group P-3m1 (No. 164)
Asymmetric unit:
Cs (0.3333, 0.6667, 0.2363) [2 per cell]
Pu (0.0000, 0.0000, 0.5000) [1 per cell]
Cl (0.1643, 0.3285, 0.7300) [6 per cell]

Principal peaks in the range 10° ≤ 2θ ≤ 90°, low angle first:
hkl	2θ (°)	Rel. int.
1 0 0	13.45	27
1 0 1	19.50	100
1 1 0	23.40	65
0 2 1	30.64	85
0 1 2	31.48	38
2 1 1	38.91	35
0 2 2	39.59	41
1 2 2	46.50	28